This entry pairs a crystal structure of AcTb5 with its computed X-ray diffraction stick pattern. Radiation: a wavelength of 1.5418 Å. Structure: a cell relaxed with PBE.
Neutral-atom scattering factors, no anomalous dispersion.

Structural model:
```
12
Lattice="5.123 0.000 0.000 0.000 15.438 0.000 0.000 0.000 5.139" Properties=species:S:1:pos:R:3 pbc="T T T"
Ac 0.000 0.000 0.000
Ac 2.562 7.719 0.000
Tb 0.000 2.618 2.569
Tb 0.000 5.079 0.000
Tb 0.000 7.719 2.569
Tb 0.000 10.359 0.000
Tb 0.000 12.820 2.569
Tb 2.562 0.000 2.569
Tb 2.562 2.640 0.000
Tb 2.562 5.101 2.569
Tb 2.562 10.337 2.569
Tb 2.562 12.798 0.000
```

Principal peaks in the range 2θ = 10–80°, sorted by position:
2theta, intensity
30.1, 100.0
34.9, 33.9
35.0, 16.9
50.2, 24.3
50.3, 12.2
59.7, 28.9
59.8, 14.7
62.7, 12.5